The following is a theoretical XRD peak list of NaCrPCO7. It was derived from the PBE+U geometry in Alexandria, using Cu Kα (λ = 1.5418 Å).

Cell and atoms:
Cell lengths 5.214, 6.282, 9.328 Å; angles 90.00, 90.32, 90.00 degrees
Element x y z (fractional)
Na 0.202 0.000 0.291
Na 0.798 0.500 0.709
Cr 0.224 0.804 0.846
Cr 0.776 0.304 0.154
P 0.282 0.298 0.935
P 0.718 0.798 0.065
C 0.316 0.792 0.594
C 0.684 0.292 0.406
O 0.082 0.796 0.647
O 0.117 0.288 0.072
O 0.205 0.490 0.840
O 0.223 0.102 0.838
O 0.378 0.801 0.468
O 0.430 0.807 0.027
O 0.487 0.777 0.704
O 0.513 0.277 0.296
O 0.570 0.307 0.973
O 0.622 0.301 0.532
O 0.777 0.602 0.162
O 0.795 0.990 0.160
O 0.883 0.788 0.928
O 0.918 0.296 0.353

Peak list (8 most intense, 10° ≤ 2θ ≤ 90°, in order of rising 2θ)
d (Å), two_theta, Rel. int., index
5.211, 17.02, 98, 0 1 1
4.548, 19.52, 100, 1 0 1
4.012, 22.16, 41, 1 1 0
3.683, 24.16, 35, 1 1 1
3.486, 25.56, 69, 1 0 -2
3.141, 28.41, 73, 0 2 0
2.606, 34.41, 38, 2 0 0
2.585, 34.71, 32, 1 2 1